Simulated X-ray powder pattern of PmSmErTh2 for a wavelength of 1.5418 Å, from a cell relaxed with PBE.

Peak list (10 most intense, 2θ = 10–90°, in order of rising 2θ)
d_spacing, Position (°2θ), I_rel
7.840, 11.29, 16
3.509, 25.38, 16
3.079, 29.00, 100
2.614, 34.30, 39
2.546, 35.26, 37
2.367, 38.01, 42
1.961, 46.29, 13
1.755, 52.13, 30
1.674, 54.85, 15
1.420, 65.76, 16

Structure:
Unit cell a=6.6908 b=15.6807 c=6.6993 alpha=90.00 beta=90.00 gamma=90.00
Space group Cmcm (No. 63)
Inequivalent atoms, fractional coordinates:
Pm  0.0000  0.1518  0.2500 [4 per cell]
Sm  0.0000  0.2573  0.7500 [4 per cell]
Er  0.0000  0.3489  0.2500 [4 per cell]
Th  0.2475  0.5000  0.0000 [8 per cell]